Theoretical XRD peak list of CsPm2Cu3Te4S for Cu Ka, from a DFT-relaxed cell (PBE, OQMD).

Unit cell a=8.126 b=8.126 c=18.291 alpha=90.00 beta=90.00 gamma=149.01
Element x y z (fractional)
Cs 0.074 0.926 0.750
Cs 0.926 0.074 0.250
Pm 0.197 0.803 0.100
Pm 0.197 0.803 0.400
Pm 0.803 0.197 0.600
Pm 0.803 0.197 0.900
Cu 0.330 0.670 0.750
Cu 0.417 0.583 0.020
Cu 0.417 0.583 0.480
Cu 0.583 0.417 0.520
Cu 0.583 0.417 0.980
Cu 0.670 0.330 0.250
Te 0.160 0.840 0.569
Te 0.160 0.840 0.931
Te 0.445 0.555 0.621
Te 0.445 0.555 0.879
Te 0.555 0.445 0.121
Te 0.555 0.445 0.379
Te 0.840 0.160 0.069
Te 0.840 0.160 0.431
S 0.230 0.770 0.250
S 0.770 0.230 0.750

The 6 most intense peaks (2θ = 10–80°), by intensity:
2theta  Rel. int.
27.1  100
26.7  83
33.2  63
41.6  61
28.5  50
44.0  49